[1]
Simulated powder diffraction line list
Compound: Sr2Au7
Radiation: copper Kα
Structure: the PBE geometry in Alexandria

Cell and atoms:
abc: 5.7771 5.7771 42.1120
angles: 90.00 90.00 120.00
Space group R-3m (No. 166, hexagonal axes)
Unique sites:
Sr 0.0000 0.0000 0.0507 x6
Sr 0.0000 0.0000 0.1490 x6
Au 0.0000 0.0000 0.2778 x6
Au 0.0000 0.0000 0.3887 x6
Au 0.0000 0.0000 0.5000 x3
Au 0.0000 0.5000 0.0000 x9
Au 0.0035 0.5017 0.8887 x18

Principal peaks in the range 2θ = 10–80°, by angle:
two_theta  I/Imax  index
17.9  508  1 0 1
31.0  128  1 1 0
36.0  222  0 2 1
36.6  1000  1 1 9
38.5  345  0 0 18
39.9  463  2 0 8
40.6  140  0 1 17
42.0  293  0 2 10
58.8  256  3 0 9
64.5  277  2 2 0
69.1  119  2 0 26
77.7  278  2 2 18

=====

[2]
Simulated powder diffraction line list
Compound: Dy6Ho8In
Radiation: copper Kα
Structure: the PBE geometry in Alexandria

Cell and atoms:
abc: 8.9413 8.9413 20.0764
angles: 90.00 90.00 120.00
Space group R-3 (No. 148, hexagonal axes)
Unique sites:
Dy 0.0642 0.2538 0.2049 x18
Ho 0.0000 0.0000 0.0760 x6
Ho 0.0822 0.5568 0.3092 x18
In 0.0000 0.0000 0.5000 x3

Principal peaks in the range 2θ = 10–80°, by angle:
two_theta  I/Imax  index
30.9  385  3 -1 1
31.8  1000  3 -2 2
32.1  633  2 0 5
33.3  462  1 0 7
33.5  181  1 1 6
35.5  219  2 1 4
37.3  220  0 3 3
40.4  112  2 2 0
54.3  296  0 3 9
54.8  129  3 2 4
56.1  172  5 -1 3
61.4  211  5 -2 7

=====

[3]
Simulated powder diffraction line list
Compound: KPH5C2SN3O4
Radiation: copper Kα
Structure: the PBE geometry in Alexandria

Cell and atoms:
abc: 6.2916 6.8976 10.9013
angles: 90.85 103.07 100.82
Space group P-1 (No. 2)
Unique sites:
K 0.0022 0.1657 0.1811 x2
P 0.4603 0.7396 0.2235 x2
H 0.0665 0.3582 0.4794 x2
H 0.3890 0.1899 0.9966 x2
H 0.4150 0.9254 0.3979 x2
H 0.4689 0.0861 0.1194 x2
H 0.4832 0.5866 0.8176 x2
C 0.2583 0.4859 0.6519 x2
C 0.3216 0.2052 0.5286 x2
S 0.1432 0.6748 0.1419 x2
N 0.2013 0.3444 0.5523 x2
N 0.4292 0.4674 0.7499 x2
N 0.4952 0.1790 0.6224 x2
O 0.1568 0.6262 0.6478 x2
O 0.2694 0.1132 0.4227 x2
O 0.3917 0.1134 0.8399 x2
O 0.3944 0.1970 0.0884 x2

Principal peaks in the range 2θ = 10–80°, by angle:
two_theta  I/Imax  index
16.0  250  0 1 1
16.7  326  0 0 2
18.4  444  -1 1 1
19.6  302  1 0 -2
21.6  1000  1 1 -1
24.7  891  1 1 -2
25.2  356  0 0 3
26.4  247  0 2 0
28.3  209  -1 2 1
31.4  274  -2 1 2
35.9  297  -1 1 4
37.7  238  2 0 2

=====

[4]
Simulated powder diffraction line list
Compound: SmTm3Sb4
Radiation: copper Kα
Structure: the PBE geometry in Alexandria

Cell and atoms:
abc: 6.1796 6.1796 6.1796
angles: 90.00 90.00 90.00
Space group Pm-3m (No. 221)
Unique sites:
Sm 0.0000 0.0000 0.0000 x1
Tm 0.0000 0.5000 0.5000 x3
Sb 0.0000 0.0000 0.5000 x3
Sb 0.5000 0.5000 0.5000 x1

Principal peaks in the range 2θ = 10–80°, by angle:
two_theta  I/Imax  index
25.0  41  1 1 1
28.9  1000  2 0 0
41.3  761  2 2 0
48.9  22  3 1 1
51.2  272  2 2 2
59.9  127  4 0 0
65.9  10  3 3 1
67.8  349  4 2 0
75.3  258  4 2 2

=====

[5]
Simulated powder diffraction line list
Compound: Sr2Si3Au9
Radiation: copper Kα
Structure: the PBE geometry in Alexandria

Cell and atoms:
abc: 15.1049 7.6234 11.1223
angles: 90.00 118.74 90.00
Space group C2/c (No. 15)
Unique sites:
Sr 0.1703 0.1048 0.2361 x8
Si 0.0879 0.2358 0.5031 x8
Si 0.2500 0.2500 0.0000 x4
Au 0.0000 0.3376 0.2500 x4
Au 0.0465 0.0730 0.9064 x8
Au 0.0936 0.4322 0.0014 x8
Au 0.1156 0.3181 0.7426 x8
Au 0.2480 0.4210 0.4479 x8

Principal peaks in the range 2θ = 10–80°, by angle:
two_theta  I/Imax  index
27.7  392  3 1 -3
28.4  332  3 1 1
29.8  538  0 2 2
33.7  645  4 2 -1
34.4  372  3 1 -4
35.4  399  3 1 2
35.7  631  6 0 -2
35.9  292  5 1 0
36.3  500  0 2 3
36.9  313  0 0 4
39.7  1000  3 3 -1
42.5  331  1 1 4

=====

Copy entry 2 word for word.
Simulated powder diffraction line list
Compound: Dy6Ho8In
Radiation: copper Kα
Structure: the PBE geometry in Alexandria

Cell and atoms:
abc: 8.9413 8.9413 20.0764
angles: 90.00 90.00 120.00
Space group R-3 (No. 148, hexagonal axes)
Unique sites:
Dy 0.0642 0.2538 0.2049 x18
Ho 0.0000 0.0000 0.0760 x6
Ho 0.0822 0.5568 0.3092 x18
In 0.0000 0.0000 0.5000 x3

Principal peaks in the range 2θ = 10–80°, by angle:
two_theta  I/Imax  index
30.9  385  3 -1 1
31.8  1000  3 -2 2
32.1  633  2 0 5
33.3  462  1 0 7
33.5  181  1 1 6
35.5  219  2 1 4
37.3  220  0 3 3
40.4  112  2 2 0
54.3  296  0 3 9
54.8  129  3 2 4
56.1  172  5 -1 3
61.4  211  5 -2 7

=====

- Number 1 is which compound?
  Sr2Au7